No. 1
# Sr2VClO4
Theoretical powder XRD pattern, CuKα. Input: a crystal structure in the Materials Project, relaxed with PBE+U.
No peak broadening, texture or thermal motion is included.

Top 8 peaks for 10° ≤ 2θ ≤ 90°, low angle first:
Position (°2θ)	d_spacing	I_rel	h k l
19.31	4.597	76	1 1 1
28.07	3.179	100	0 2 2
29.32	3.046	49	2 1 0
30.71	2.912	76	0 0 4
33.19	2.699	52	2 1 2
41.38	2.182	36	1 2 4
42.97	2.105	47	2 1 4
47.80	1.903	57	2 3 2

a = 6.652 Å, b = 7.590 Å, c = 11.647 Å
α = 90.00°, β = 90.00°, γ = 90.00°
Space group Pbcm (No. 57)
Symmetry-distinct sites (fractional):
Sr  0.124  0.250  0.000
Sr  0.362  0.533  0.250
V  0.372  0.750  0.000
Cl  0.007  0.692  0.750
O  0.215  0.573  0.030
O  0.472  0.226  0.620

No. 2
# Te7WCl5O
Theoretical powder XRD pattern, CuKα. Input: a crystal structure in the Materials Project, relaxed with PBE+U.
No peak broadening, texture or thermal motion is included.

Top 8 peaks for 10° ≤ 2θ ≤ 90°, low angle first:
Position (°2θ)	d_spacing	I_rel	h k l
12.47	7.098	100	2 1 0
16.93	5.236	73	4 1 0
23.81	3.737	92	2 0 2
25.25	3.527	65	0 1 2
28.04	3.182	38	7 1 1
29.23	3.055	74	6 2 0
34.26	2.617	78	8 2 0
37.43	2.403	44	6 2 2

a = 26.852 Å, b = 8.362 Å, c = 7.781 Å
α = 90.00°, β = 90.00°, γ = 90.00°
Space group Pcca (No. 54)
Symmetry-distinct sites (fractional):
Te  0.000  0.000  0.000
Te  0.069  0.273  0.043
Te  0.084  0.219  0.412
Te  0.140  0.060  0.910
W  0.250  0.500  0.223
Cl  0.000  0.485  0.750
Cl  0.162  0.445  0.739
Cl  0.233  0.218  0.241
O  0.250  0.500  0.483

No. 3
# TmWClO4
Theoretical powder XRD pattern, CuKα. Input: a crystal structure in the Materials Project, relaxed with PBE+U.
No peak broadening, texture or thermal motion is included.

Top 8 peaks for 10° ≤ 2θ ≤ 90°, low angle first:
Position (°2θ)	d_spacing	I_rel	h k l
13.35	6.630	33	0 0 1
18.16	4.885	38	1 1 0
24.45	3.640	100	1 -1 0
25.73	3.463	59	1 1 -1
26.89	3.315	30	0 0 2
27.64	3.227	34	0 1 2
28.24	3.160	38	1 2 1
29.23	3.055	34	1 0 2

a = 6.051 Å, b = 6.566 Å, c = 6.975 Å
α = 73.80°, β = 77.25°, γ = 70.73°
Space group P-1 (No. 2)
Symmetry-distinct sites (fractional):
Tm  0.239  0.205  0.368
W  0.377  0.355  0.765
Cl  0.006  0.024  0.724
O  0.090  0.517  0.690
O  0.344  0.258  0.035
O  0.427  0.471  0.307
O  0.480  0.125  0.632

No. 4
# TmWClO4
Theoretical powder XRD pattern, CuKα. Input: a crystal structure in the Materials Project, relaxed with PBE+U.
No peak broadening, texture or thermal motion is included.

Top 8 peaks for 10° ≤ 2θ ≤ 90°, low angle first:
Position (°2θ)	d_spacing	I_rel	h k l
13.45	6.583	36	0 0 1
18.11	4.899	41	2 0 0
24.49	3.634	100	0 2 0
25.72	3.464	59	2 0 1
28.66	3.115	63	1 1 -2
29.34	3.045	58	3 1 -1
34.65	2.588	42	3 1 -2
35.81	2.508	35	2 2 1

a = 10.269 Å, b = 7.269 Å, c = 6.900 Å
α = 90.00°, β = 107.43°, γ = 90.00°
Space group C2/m (No. 12)
Symmetry-distinct sites (fractional):
Tm  0.222  0.000  0.117
W  0.137  0.500  0.268
Cl  0.011  0.000  0.770
O  0.046  0.500  0.800
O  0.200  0.307  0.151
O  0.207  0.500  0.539

No. 5
# VClO
Theoretical powder XRD pattern, CuKα. Input: a crystal structure in the Materials Project, relaxed with PBE+U.
No peak broadening, texture or thermal motion is included.

Top 8 peaks for 10° ≤ 2θ ≤ 90°, low angle first:
Position (°2θ)	d_spacing	I_rel	h k l
10.27	8.616	100	0 0 1
25.35	3.513	47	0 1 1
33.68	2.661	38	1 0 2
36.88	2.437	11	1 1 1
41.23	2.190	19	1 0 -3
47.24	1.924	10	0 2 0
47.77	1.904	12	-1 1 3
54.21	1.692	6	2 0 0

a = 3.384 Å, b = 3.848 Å, c = 8.616 Å
α = 90.16°, β = 90.06°, γ = 90.00°
Space group P-1 (No. 2)
Symmetry-distinct sites (fractional):
V  0.250  0.249  0.392
Cl  0.251  0.751  0.808
O  0.250  0.748  0.459

No. 6
# WCl3O
Theoretical powder XRD pattern, CuKα. Input: a crystal structure in the Materials Project, relaxed with PBE+U.
No peak broadening, texture or thermal motion is included.

Top 8 peaks for 10° ≤ 2θ ≤ 90°, low angle first:
Position (°2θ)	d_spacing	I_rel	h k l
10.21	8.661	100	1 1 0
16.18	5.478	68	2 1 0
24.36	3.653	53	1 0 1
29.16	3.062	28	4 0 0
37.44	2.402	21	5 1 0
38.35	2.347	16	4 1 1
43.88	2.063	27	5 0 1
53.55	1.711	14	5 4 1

a = 12.249 Å, b = 12.249 Å, c = 3.828 Å
α = 90.00°, β = 90.00°, γ = 90.00°
Space group P4_2/mnm (No. 136)
Symmetry-distinct sites (fractional):
W  0.109  0.109  0.000
Cl  0.098  0.902  0.000
Cl  0.100  0.298  0.000
O  0.099  0.099  0.500

No. 7
# WCl2O2
Theoretical powder XRD pattern, CuKα. Input: a crystal structure in the Materials Project, relaxed with PBE+U.
No peak broadening, texture or thermal motion is included.

Top 8 peaks for 10° ≤ 2θ ≤ 90°, low angle first:
Position (°2θ)	d_spacing	I_rel	h k l
10.74	8.236	100	1 0 0
21.58	4.118	10	2 0 0
22.61	3.933	27	0 1 0
22.95	3.876	28	0 0 2
25.09	3.549	17	1 1 0
25.40	3.507	21	1 0 2
32.43	2.760	15	0 1 2
32.62	2.745	11	3 0 0

a = 8.236 Å, b = 3.933 Å, c = 7.752 Å
α = 90.00°, β = 90.00°, γ = 90.00°
Space group Pmc2_1 (No. 26)
Symmetry-distinct sites (fractional):
W  0.000  0.054  0.000
Cl  0.276  0.019  0.465
O  0.000  0.007  0.230
O  0.000  0.496  0.484

No. 8
# W2Cl4O7
Theoretical powder XRD pattern, CuKα. Input: a crystal structure in the Materials Project, relaxed with PBE+U.
No peak broadening, texture or thermal motion is included.

Top 8 peaks for 10° ≤ 2θ ≤ 90°, low angle first:
Position (°2θ)	d_spacing	I_rel	h k l
11.30	7.834	100	1 1 1
14.79	5.990	20	0 4 0
15.65	5.664	76	2 0 0
17.32	5.120	19	2 2 0
21.43	4.147	19	2 0 2
22.26	3.994	25	0 6 0
23.60	3.770	51	1 1 3
27.33	3.264	21	2 6 0

a = 11.328 Å, b = 23.961 Å, c = 12.163 Å
α = 90.00°, β = 90.00°, γ = 90.00°
Space group Ccce (No. 68, origin choice 2)
Symmetry-distinct sites (fractional):
W  0.015  0.170  0.092
Cl  0.036  0.169  0.597
Cl  0.045  0.073  0.403
O  0.000  0.172  0.250
O  0.000  0.250  0.090
O  0.165  0.158  0.080
O  0.172  0.154  0.411
O  0.215  0.250  0.750

No. 9
# WCl2O2
Theoretical powder XRD pattern, CuKα. Input: a crystal structure in the Materials Project, relaxed with PBE+U.
No peak broadening, texture or thermal motion is included.

Top 8 peaks for 10° ≤ 2θ ≤ 90°, low angle first:
Position (°2θ)	d_spacing	I_rel	h k l
10.63	8.322	100	1 0 0
21.35	4.161	11	2 0 0
22.99	3.868	56	0 0 2
25.39	3.508	37	1 0 2
32.27	2.774	12	3 0 0
32.74	2.735	16	0 1 2
39.99	2.254	19	3 0 2
49.76	1.832	12	4 0 2

a = 8.322 Å, b = 3.875 Å, c = 7.724 Å
α = 90.00°, β = 90.00°, γ = 90.00°
Space group Pmc2_1 (No. 26)
Symmetry-distinct sites (fractional):
W  0.000  0.029  0.000
Cl  0.279  0.010  0.518
O  0.000  0.002  0.760
O  0.000  0.496  0.510

No. 10
# WCl2O2
Theoretical powder XRD pattern, CuKα. Input: a crystal structure in the Materials Project, relaxed with PBE+U.
No peak broadening, texture or thermal motion is included.

Top 8 peaks for 10° ≤ 2θ ≤ 90°, low angle first:
Position (°2θ)	d_spacing	I_rel	h k l
10.63	8.322	100	0 1 0
22.99	3.868	56	1 0 0
25.39	3.508	37	0 1 1
32.27	2.774	12	0 3 0
32.74	2.735	17	1 0 1
34.52	2.599	11	1 1 1
39.99	2.254	19	1 3 0
49.76	1.832	12	1 4 0

a = 3.875 Å, b = 8.322 Å, c = 3.862 Å
α = 90.00°, β = 90.00°, γ = 90.00°
Space group Pmm2 (No. 25)
Symmetry-distinct sites (fractional):
W  0.000  0.000  0.000
Cl  0.000  0.279  0.964
O  0.000  0.000  0.479
O  0.500  0.000  0.980